(1)
Starting from a PBE-relaxed structure, the X-ray diffraction stick pattern of H3PdF8 was calculated for Cu Kα, 1.54184 Å.
Lines closer than 0.1° are merged.

Crystal structure
Cell lengths 5.2017, 10.2256, 5.7860 Å; angles 90.00, 107.55, 90.00 degrees
Atoms (fractional coordinates):
H1 0.0260 0.0000 0.1923
H2 0.1920 0.5048 0.5863
H3 0.4330 0.4912 0.3036
H4 0.5670 0.9912 0.6964
H5 0.8080 0.0048 0.4137
H6 0.9740 0.5000 0.8077
Pd1 0.1572 0.8774 0.8369
Pd2 0.8428 0.3774 0.1631
F1 0.0500 0.2566 0.0505
F2 0.1050 0.7796 0.5453
F3 0.1851 0.4813 0.3444
F4 0.1914 0.5189 0.7588
F5 0.2053 0.9862 0.1406
F6 0.3810 0.0140 0.7127
F7 0.4558 0.7401 0.4812
F8 0.4750 0.7866 0.9970
F9 0.5250 0.2866 0.0030
F10 0.5442 0.2401 0.5188
F11 0.6190 0.5140 0.2873
F12 0.7947 0.4862 0.8594
F13 0.8086 0.0189 0.2412
F14 0.8149 0.9813 0.6556
F15 0.8950 0.2796 0.4547
F16 0.9500 0.7566 0.9495

Top 12 peaks for 10 to 90 degrees two-theta, by angle:
2θ (°)  Rel. int.
17.34  85
17.88  20
18.27  100
19.90  78
21.96  54
23.73  20
27.57  24
30.84  22
31.86  20
33.23  30
37.03  23
45.22  29

***

(2)
Starting from a PBE-relaxed structure, the X-ray diffraction stick pattern of PmHF5 was calculated for Cu Kα, 1.54184 Å.
Lines closer than 0.1° are merged.

Crystal structure
Cell lengths 5.1548, 5.1548, 6.9829 Å; angles 107.09, 107.09, 75.35 degrees
Atoms (fractional coordinates):
Pm1 0.1712 0.8288 0.7500
Pm2 0.8288 0.1712 0.2500
H1 0.0000 0.5000 0.0000
H2 0.5000 0.0000 0.5000
F1 0.0037 0.2709 0.9934
F2 0.1038 0.5231 0.3970
F3 0.2709 0.0037 0.4934
F4 0.4769 0.8962 0.1030
F5 0.4841 0.5159 0.2500
F6 0.5159 0.4841 0.7500
F7 0.5231 0.1038 0.8970
F8 0.7291 0.9963 0.5066
F9 0.8962 0.4769 0.6030
F10 0.9963 0.7291 0.0066

Top 12 peaks for 10 to 90 degrees two-theta, by angle:
2θ (°)  Rel. int.
18.31  34
20.11  100
23.48  40
25.43  49
28.84  35
31.57  42
35.97  24
41.51  33
42.88  46
44.78  26
45.45  24
45.62  24

***

(3)
Starting from a PBE-relaxed structure, the X-ray diffraction stick pattern of PmH2F5 was calculated for Cu Kα, 1.54184 Å.
Lines closer than 0.1° are merged.

Crystal structure
Cell lengths 4.6028, 5.2003, 5.2035 Å; angles 78.82, 63.86, 63.90 degrees
Atoms (fractional coordinates):
Pm1 0.0000 0.0000 0.0000
H1 0.0000 0.5000 0.5000
H2 0.5000 0.5000 0.5000
F1 0.0665 0.2728 0.5955
F2 0.3397 0.5955 0.7273
F3 0.5000 0.0000 0.0000
F4 0.6603 0.4045 0.2727
F5 0.9335 0.7272 0.4045

Top 12 peaks for 10 to 90 degrees two-theta, by angle:
2θ (°)  Rel. int.
19.00  62
23.56  100
27.00  58
36.11  28
38.55  15
39.14  20
43.32  37
43.84  12
45.66  20
48.17  17
53.84  18
59.72  13

***

(4)
Starting from a PBE-relaxed structure, the X-ray diffraction stick pattern of PmH2F6 was calculated for Cu Kα, 1.54184 Å.
Lines closer than 0.1° are merged.

Crystal structure
Cell lengths 6.4284, 6.4284, 5.7132 Å; angles 95.70, 95.70, 58.39 degrees
Atoms (fractional coordinates):
Pm1 0.2370 0.7630 0.7500
Pm2 0.7630 0.2370 0.2500
H1 0.0845 0.3337 0.6705
H2 0.3337 0.0845 0.1705
H3 0.6663 0.9155 0.8295
H4 0.9155 0.6663 0.3295
F1 0.0501 0.1596 0.5780
F2 0.0978 0.4818 0.7428
F3 0.1596 0.0501 0.0780
F4 0.3246 0.5432 0.1193
F5 0.4568 0.6754 0.3807
F6 0.4818 0.0978 0.2428
F7 0.5182 0.9022 0.7572
F8 0.5432 0.3246 0.6193
F9 0.6754 0.4568 0.8807
F10 0.8404 0.9499 0.9220
F11 0.9022 0.5182 0.2572
F12 0.9499 0.8404 0.4220

Top 12 peaks for 10 to 90 degrees two-theta, by angle:
2θ (°)  Rel. int.
15.90  100
21.94  84
23.21  67
28.46  22
30.72  23
31.52  24
33.48  25
42.98  28
43.43  26
44.34  22
47.39  27
47.74  24

***

(5)
Starting from a PBE-relaxed structure, the X-ray diffraction stick pattern of PuH2F5 was calculated for Cu Kα, 1.54184 Å.
Lines closer than 0.1° are merged.

Crystal structure
Cell lengths 5.2398, 5.2398, 5.2398 Å; angles 101.24, 101.24, 127.60 degrees
Atoms (fractional coordinates):
Pu1 0.0000 0.0000 0.0000
H1 0.0000 0.5000 0.5000
H2 0.5000 0.0000 0.5000
F1 0.0699 0.3412 0.4110
F2 0.3412 0.9301 0.2713
F3 0.5000 0.5000 0.0000
F4 0.6588 0.0699 0.7287
F5 0.9301 0.6588 0.5890

Top 12 peaks for 10 to 90 degrees two-theta, by angle:
2θ (°)  Rel. int.
18.88  69
23.42  100
26.82  50
35.90  48
38.29  15
38.93  15
43.02  32
43.60  18
45.37  24
47.90  20
53.49  24
59.40  24

***

(6)
Starting from a PBE-relaxed structure, the X-ray diffraction stick pattern of Rb7H4F4 was calculated for Cu Kα, 1.54184 Å.
Lines closer than 0.1° are merged.

Crystal structure
Cell lengths 10.7614, 10.7614, 10.7614 Å; angles 96.80, 96.80, 139.74 degrees
Atoms (fractional coordinates):
Rb1 0.0000 0.3514 0.3514
Rb2 0.0000 0.6486 0.6486
Rb3 0.2147 0.2147 0.4294
Rb4 0.2147 0.7853 0.0000
Rb5 0.2290 0.5000 0.7290
Rb6 0.2482 0.2482 0.0000
Rb7 0.3514 0.0000 0.3514
Rb8 0.5000 0.2290 0.7290
Rb9 0.5000 0.7710 0.2710
Rb10 0.6486 0.0000 0.6486
Rb11 0.7518 0.7518 0.0000
Rb12 0.7710 0.5000 0.2710
Rb13 0.7853 0.2147 0.0000
Rb14 0.7853 0.7853 0.5706
H1 0.0000 0.1599 0.1599
H2 0.0000 0.8401 0.8401
H3 0.1599 0.0000 0.1599
H4 0.3836 0.3836 0.7672
H5 0.3836 0.6164 0.0000
H6 0.6164 0.3836 0.0000
H7 0.6164 0.6164 0.2328
H8 0.8401 0.0000 0.8401
F1 0.1083 0.6083 0.2166
F2 0.1083 0.8917 0.5000
F3 0.3917 0.6083 0.5000
F4 0.3917 0.8917 0.7834
F5 0.6083 0.1083 0.2166
F6 0.6083 0.3917 0.5000
F7 0.8917 0.1083 0.5000
F8 0.8917 0.3917 0.7834

Top 12 peaks for 10 to 90 degrees two-theta, by angle:
2θ (°)  Rel. int.
19.65  59
24.03  45
24.93  56
25.49  100
25.62  34
26.46  55
28.43  47
33.61  62
34.89  39
36.04  36
37.16  85
53.13  53

***

(7)
Starting from a PBE-relaxed structure, the X-ray diffraction stick pattern of Rb3HF5 was calculated for Cu Kα, 1.54184 Å.
Lines closer than 0.1° are merged.

Crystal structure
Cell lengths 7.7921, 7.7921, 7.7921 Å; angles 122.58, 122.58, 85.59 degrees
Atoms (fractional coordinates):
Rb1 0.1780 0.6780 0.8559
Rb2 0.2500 0.2500 0.0000
Rb3 0.3220 0.1780 0.5000
Rb4 0.6780 0.8220 0.5000
Rb5 0.7500 0.7500 0.0000
Rb6 0.8220 0.3220 0.1441
H1 0.2500 0.7500 0.5000
H2 0.7500 0.2500 0.5000
F1 0.0000 0.0000 0.0000
F2 0.0548 0.7751 0.5000
F3 0.2249 0.7249 0.2798
F4 0.2751 0.5548 0.5000
F5 0.4452 0.9452 0.7202
F6 0.5000 0.5000 0.0000
F7 0.5548 0.0548 0.2798
F8 0.7249 0.4452 0.5000
F9 0.7751 0.2751 0.7202
F10 0.9452 0.2249 0.5000

Top 12 peaks for 10 to 90 degrees two-theta, by angle:
2θ (°)  Rel. int.
22.89  25
27.76  53
28.50  89
31.29  30
33.87  26
35.69  100
38.01  53
46.77  19
50.02  30
50.92  37
54.42  21
65.65  23

***

(8)
Starting from a PBE-relaxed structure, the X-ray diffraction stick pattern of RbHF5 was calculated for Cu Kα, 1.54184 Å.
Lines closer than 0.1° are merged.

Crystal structure
Cell lengths 5.0799, 5.3928, 10.2909 Å; angles 85.01, 86.10, 67.56 degrees
Atoms (fractional coordinates):
Rb1 0.0000 0.0000 0.0000
Rb2 0.0000 0.5000 0.5000
H1 0.3156 0.0443 0.7201
H2 0.6844 0.9557 0.2799
F1 0.1241 0.1766 0.7422
F2 0.3282 0.3526 0.9713
F3 0.3595 0.2769 0.1219
F4 0.3980 0.1537 0.3040
F5 0.4131 0.7091 0.5743
F6 0.5869 0.2909 0.4257
F7 0.6020 0.8463 0.6960
F8 0.6405 0.7231 0.8781
F9 0.6718 0.6474 0.0287
F10 0.8759 0.8234 0.2578

Top 12 peaks for 10 to 90 degrees two-theta, by angle:
2θ (°)  Rel. int.
17.31  96
19.32  34
20.36  81
21.55  95
26.24  33
31.86  100
32.78  49
33.82  32
35.00  40
36.05  51
36.71  49
39.71  33

***

(9)
Starting from a PBE-relaxed structure, the X-ray diffraction stick pattern of Rb8H3F4 was calculated for Cu Kα, 1.54184 Å.
Lines closer than 0.1° are merged.

Crystal structure
Cell lengths 8.3703, 8.3703, 8.3640 Å; angles 119.84, 119.84, 90.05 degrees
Atoms (fractional coordinates):
Rb1 0.2349 0.2349 0.4797
Rb2 0.2406 0.2406 0.9929
Rb3 0.2422 0.7578 0.0000
Rb4 0.2474 0.7526 0.5000
Rb5 0.7526 0.2474 0.5000
Rb6 0.7578 0.2422 0.0000
Rb7 0.7594 0.7594 0.0071
Rb8 0.7651 0.7651 0.5203
H1 0.0000 0.5000 0.5000
H2 0.5000 0.0000 0.5000
H3 0.5000 0.5000 0.5000
F1 0.0000 0.0000 0.0000
F2 0.0000 0.0000 0.5000
F3 0.0000 0.5000 0.0000
F4 0.5000 0.0000 0.0000

Top 12 peaks for 10 to 90 degrees two-theta, by angle:
2θ (°)  Rel. int.
26.05  100
30.14  57
30.21  28
43.12  30
43.25  30
50.96  7
51.13  31
51.26  8
53.48  10
53.66  10
69.24  6
71.19  10

***

(10)
Starting from a PBE-relaxed structure, the X-ray diffraction stick pattern of Rb2SbHF6 was calculated for Cu Kα, 1.54184 Å.
Lines closer than 0.1° are merged.

Crystal structure
Cell lengths 6.5735, 6.5735, 6.5735 Å; angles 129.65, 129.65, 73.96 degrees
Atoms (fractional coordinates):
Rb1 0.2500 0.7500 0.5000
Rb2 0.7500 0.2500 0.5000
Sb1 0.0000 0.0000 0.0000
H1 0.5000 0.5000 0.0000
F1 0.2085 0.2085 0.0000
F2 0.2795 0.2795 0.5590
F3 0.2795 0.7205 0.0000
F4 0.7205 0.2795 0.0000
F5 0.7205 0.7205 0.4410
F6 0.7915 0.7915 0.0000

Top 12 peaks for 10 to 90 degrees two-theta, by angle:
2θ (°)  Rel. int.
17.97  57
28.25  100
32.01  35
34.15  34
36.40  18
36.95  29
45.90  29
47.50  20
54.77  29
57.59  17
58.43  25
76.59  14

***

(11)
Starting from a PBE-relaxed structure, the X-ray diffraction stick pattern of Rb2SiH5F was calculated for Cu Kα, 1.54184 Å.
Lines closer than 0.1° are merged.

Crystal structure
Cell lengths 5.8907, 5.8907, 5.8907 Å; angles 120.60, 120.60, 88.96 degrees
Atoms (fractional coordinates):
Rb1 0.0000 0.5000 0.5000
Rb2 0.5000 0.0000 0.5000
Si1 0.2382 0.2382 0.0000
H1 0.0484 0.0484 0.6129
H2 0.0484 0.4355 0.0000
H3 0.0490 0.0490 0.0000
H4 0.4355 0.0484 0.0000
H5 0.4355 0.4355 0.3871
F1 0.4552 0.4552 0.0000

Top 12 peaks for 10 to 90 degrees two-theta, by angle:
2θ (°)  Rel. int.
18.51  19
21.14  44
21.53  50
30.35  100
30.63  69
37.52  46
43.87  26
48.62  15
49.19  19
53.75  24
54.28  37
63.14  15

***

(12)
Starting from a PBE-relaxed structure, the X-ray diffraction stick pattern of Rb3Sr2H4F3 was calculated for Cu Kα, 1.54184 Å.
Lines closer than 0.1° are merged.

Crystal structure
Cell lengths 12.7172, 12.7172, 12.7172 Å; angles 158.37, 30.94, 158.15 degrees
Atoms (fractional coordinates):
Rb1 0.0000 0.0000 0.0000
Rb2 0.2460 0.0587 0.1873
Rb3 0.8714 0.0587 0.8127
Sr1 0.4696 0.0674 0.4022
Sr2 0.6652 0.0674 0.5978
H1 0.1678 0.5698 0.5980
H2 0.3754 0.0739 0.3015
H3 0.7725 0.0739 0.6985
H4 0.9719 0.5698 0.4020
F1 0.4952 0.5906 0.9046
F2 0.6117 0.1117 0.5000
F3 0.6860 0.5906 0.0954

Top 12 peaks for 10 to 90 degrees two-theta, by angle:
2θ (°)  Rel. int.
25.92  100
26.06  69
26.28  88
36.66  21
37.31  23
37.69  25
45.67  29
46.07  28
46.32  40
53.60  13
54.08  15
73.66  15